CaTl4Ni4O12: calculated powder XRD pattern (Cu Kα, 1.54184 Å), based on a DFT-relaxed cell (PBE+U, the Materials Project).

Top 10 peaks for 5 to 70 degrees two-theta, by intensity:
d [Å], 2theta, I/Imax, (hkl)
2.740, 32.68, 100, 0 2 1
2.593, 34.59, 84, 1 1 3
2.807, 31.89, 70, 1 -1 2
4.079, 21.79, 62, 1 1 1
4.355, 20.39, 45, 0 0 2
2.827, 31.65, 44, 1 1 -2
8.710, 10.16, 44, 0 0 1
2.789, 32.09, 41, -1 1 2
3.648, 24.40, 40, 1 -1 0
3.603, 24.71, 40, 1 1 -1

```
data_CaTl4Ni4O12
_cell_length_a 5.592
_cell_length_b 5.690
_cell_length_c 8.819
_cell_angle_alpha 83.35
_cell_angle_beta 82.90
_cell_angle_gamma 80.59
_symmetry_space_group_name_H-M 'P 1'
_symmetry_Int_Tables_number 1
_symmetry_space_group_name_Hall 'P 1'
loop_
_atom_site_label
_atom_site_type_symbol
_atom_site_fract_x
_atom_site_fract_y
_atom_site_fract_z
Ca1 Ca 0.000 0.000 0.000
Tl1 Tl 0.106 0.126 0.584
Tl2 Tl 0.301 0.328 0.147
Tl3 Tl 0.613 0.617 0.648
Tl4 Tl 0.619 0.788 0.234
Ni1 Ni 0.059 0.566 0.805
Ni2 Ni 0.095 0.704 0.393
Ni3 Ni 0.561 0.126 0.831
Ni4 Ni 0.635 0.215 0.407
O1 O 0.016 0.662 0.167
O2 O 0.217 0.734 0.626
O3 O 0.266 0.015 0.338
O4 O 0.364 0.422 0.885
O5 O 0.409 0.982 0.013
O6 O 0.418 0.502 0.338
O7 O 0.481 0.230 0.617
O8 O 0.726 0.171 0.191
O9 O 0.778 0.825 0.810
O10 O 0.778 0.896 0.460
O11 O 0.885 0.425 0.466
O12 O 0.891 0.289 0.800
```